For ZnAg2P2O7, a crystal structure in OQMD, relaxed with PBE gives the computed powder XRD pattern in this record (Cu Ka).
Neutral-atom scattering factors, no anomalous dispersion.

Cell and atoms:
abc: 7.7532 7.7532 10.3747
angles: 90.00 90.00 90.00
Fractional positions:
Zn1 0.0000 0.5000 0.2500
Zn2 0.0000 0.5000 0.7500
Zn3 0.5000 0.0000 0.2500
Zn4 0.5000 0.0000 0.7500
Ag1 0.1371 0.1371 0.0000
Ag2 0.1993 0.1993 0.5000
Ag3 0.3007 0.6993 0.0000
Ag4 0.3629 0.6371 0.5000
Ag5 0.6371 0.3629 0.5000
Ag6 0.6993 0.3007 0.0000
Ag7 0.8007 0.8007 0.5000
Ag8 0.8629 0.8629 0.0000
P1 0.1391 0.8609 0.2928
P2 0.1391 0.8609 0.7072
P3 0.3609 0.3609 0.2072
P4 0.3609 0.3609 0.7928
P5 0.6391 0.6391 0.2072
P6 0.6391 0.6391 0.7928
P7 0.8609 0.1391 0.2928
P8 0.8609 0.1391 0.7072
O1 0.0000 0.0000 0.3478
O2 0.0000 0.0000 0.6522
O3 0.0805 0.6912 0.3559
O4 0.0805 0.6912 0.6441
O5 0.1364 0.8636 0.1467
O6 0.1364 0.8636 0.8533
O7 0.1912 0.4195 0.1441
O8 0.1912 0.4195 0.8559
O9 0.3088 0.9195 0.3559
O10 0.3088 0.9195 0.6441
O11 0.3636 0.3636 0.3533
O12 0.3636 0.3636 0.6467
O13 0.4195 0.1912 0.1441
O14 0.4195 0.1912 0.8559
O15 0.5000 0.5000 0.1522
O16 0.5000 0.5000 0.8478
O17 0.5805 0.8088 0.1441
O18 0.5805 0.8088 0.8559
O19 0.6364 0.6364 0.3533
O20 0.6364 0.6364 0.6467
O21 0.6912 0.0805 0.3559
O22 0.6912 0.0805 0.6441
O23 0.8088 0.5805 0.1441
O24 0.8088 0.5805 0.8559
O25 0.8636 0.1364 0.1467
O26 0.8636 0.1364 0.8533
O27 0.9195 0.3088 0.3559
O28 0.9195 0.3088 0.6441

Top 12 peaks for 2θ = 10–90°, by angle:
2θ (°)	d (Å)	I/Imax
23.61	3.768	27
28.26	3.158	10
28.75	3.105	46
31.02	2.883	100
32.67	2.741	11
34.58	2.594	12
36.65	2.452	24
37.70	2.386	21
43.58	2.077	25
48.35	1.882	16
51.28	1.782	23
51.71	1.768	10


For AgPb2O4, a crystal structure in OQMD, relaxed with PBE gives the computed powder XRD pattern in this record (Cu Ka).
Neutral-atom scattering factors, no anomalous dispersion.

Cell and atoms:
abc: 6.8724 6.8724 6.8724
angles: 60.00 60.00 60.00
Fractional positions:
Ag1 0.1250 0.1250 0.1250
Ag2 0.8750 0.8750 0.8750
Pb1 0.0000 0.5000 0.5000
Pb2 0.5000 0.0000 0.5000
Pb3 0.5000 0.5000 0.0000
Pb4 0.5000 0.5000 0.5000
O1 0.2660 0.2660 0.2660
O2 0.2660 0.2660 0.7020
O3 0.2660 0.7020 0.2660
O4 0.2980 0.7340 0.7340
O5 0.7020 0.2660 0.2660
O6 0.7340 0.2980 0.7340
O7 0.7340 0.7340 0.2980
O8 0.7340 0.7340 0.7340

Top 12 peaks for 2θ = 10–90°, by angle:
2θ (°)	d (Å)	I/Imax
15.79	5.611	35
25.93	3.436	13
30.51	2.930	100
31.90	2.806	45
37.00	2.430	24
48.68	1.870	40
53.32	1.718	44
62.68	1.482	13
63.49	1.465	22
75.07	1.265	23
86.78	1.122	13
87.50	1.115	11


For AgPbO3, a crystal structure in OQMD, relaxed with PBE gives the computed powder XRD pattern in this record (Cu Ka).
Neutral-atom scattering factors, no anomalous dispersion.

Cell and atoms:
abc: 5.6132 5.6132 5.6132
angles: 62.70 62.70 62.70
Fractional positions:
Ag1 0.0000 0.0000 0.0000
Ag2 0.5000 0.5000 0.5000
Pb1 0.2500 0.2500 0.2500
Pb2 0.7500 0.7500 0.7500
O1 0.1197 0.7500 0.3803
O2 0.2500 0.6197 0.8803
O3 0.3803 0.1197 0.7500
O4 0.6197 0.8803 0.2500
O5 0.7500 0.3803 0.1197
O6 0.8803 0.2500 0.6197

Top 12 peaks for 2θ = 10–90°, by angle:
2θ (°)	d (Å)	I/Imax
21.98	4.044	17
30.61	2.920	99
31.94	2.802	100
44.83	2.022	44
54.42	1.686	28
55.26	1.662	44
57.74	1.597	19
63.74	1.460	13
66.77	1.401	13
73.08	1.295	18
75.22	1.263	18
89.29	1.097	13


For Ag3Pb5O12, a crystal structure in OQMD, relaxed with PBE gives the computed powder XRD pattern in this record (Cu Ka).
Neutral-atom scattering factors, no anomalous dispersion.

Cell and atoms:
abc: 7.1287 7.1287 7.1287
angles: 109.47 109.47 109.47
Fractional positions:
Ag1 0.0000 0.5000 0.5000
Ag2 0.5000 0.0000 0.5000
Ag3 0.5000 0.5000 0.0000
Pb1 0.0000 0.0000 0.0000
Pb2 0.0000 0.0000 0.5000
Pb3 0.0000 0.5000 0.0000
Pb4 0.5000 0.0000 0.0000
Pb5 0.5000 0.5000 0.5000
O1 0.1368 0.3070 0.8298
O2 0.1702 0.4773 0.3070
O3 0.1702 0.8632 0.6930
O4 0.3070 0.1702 0.4773
O5 0.3070 0.8298 0.1368
O6 0.4773 0.3070 0.1702
O7 0.5227 0.6930 0.8298
O8 0.6930 0.1702 0.8632
O9 0.6930 0.8298 0.5227
O10 0.8298 0.1368 0.3070
O11 0.8298 0.5227 0.6930
O12 0.8632 0.6930 0.1702

Top 12 peaks for 2θ = 10–90°, by angle:
2θ (°)	d (Å)	I/Imax
15.22	5.821	2
21.59	4.116	6
30.72	2.910	100
34.45	2.603	2
41.03	2.200	2
44.00	2.058	22
49.52	1.841	3
54.62	1.680	46
63.98	1.455	13
72.64	1.302	19
80.91	1.188	5
88.99	1.100	23


For AgPbO3, a crystal structure in OQMD, relaxed with PBE gives the computed powder XRD pattern in this record (Cu Ka).
Neutral-atom scattering factors, no anomalous dispersion.

Cell and atoms:
abc: 5.7871 8.3230 5.5195
angles: 90.00 90.00 90.00
Fractional positions:
Ag1 0.0000 0.0000 0.0000
Ag2 0.0000 0.5000 0.0000
Ag3 0.5000 0.0000 0.5000
Ag4 0.5000 0.5000 0.5000
Pb1 0.0653 0.2500 0.4735
Pb2 0.4347 0.7500 0.9735
Pb3 0.5653 0.2500 0.0265
Pb4 0.9347 0.7500 0.5265
O1 0.0826 0.7500 0.1474
O2 0.1823 0.5781 0.6913
O3 0.1823 0.9219 0.6913
O4 0.3177 0.0781 0.1913
O5 0.3177 0.4219 0.1913
O6 0.4174 0.2500 0.6474
O7 0.5826 0.7500 0.3526
O8 0.6823 0.5781 0.8087
O9 0.6823 0.9219 0.8087
O10 0.8177 0.0781 0.3087
O11 0.8177 0.4219 0.3087
O12 0.9174 0.2500 0.8526

Top 12 peaks for 2θ = 10–90°, by angle:
2θ (°)	d (Å)	I/Imax
24.72	3.601	14
30.90	2.894	18
31.03	2.882	100
32.44	2.760	21
43.49	2.081	13
45.41	1.997	14
46.78	1.942	9
51.36	1.779	12
54.30	1.689	9
55.29	1.661	11
56.99	1.616	19
72.08	1.310	10